# 1
SbCSF11: theoretical X-ray powder pattern (CuKα), based on a GGA-PBE-relaxed structure.

Most intense lines, 2θ = 5–70°, by intensity:
d_spacing  I (rel.)
4.290  100
4.816  77
4.863  74
6.162  68
3.773  50
6.875  40

Atomic structure:
a = 9.3667 Å, b = 9.3667 Å, c = 13.6293 Å
α = 91.26°, β = 91.26°, γ = 47.22°
Fractional positions:
1 Sb 0.0030 0.2145 0.3790
2 Sb 0.2145 0.0030 0.8790
3 Sb 0.7855 0.9970 0.1210
4 Sb 0.9970 0.7855 0.6210
5 C 0.2889 0.4080 0.9191
6 C 0.4080 0.2889 0.4191
7 C 0.5920 0.7111 0.5809
8 C 0.7111 0.5920 0.0809
9 S 0.1750 0.5281 0.3508
10 S 0.4719 0.8250 0.1492
11 S 0.5281 0.1750 0.8508
12 S 0.8250 0.4719 0.6492
13 F 0.0203 0.9712 0.6303
14 F 0.0239 0.4090 0.3932
15 F 0.0288 0.9797 0.8697
16 F 0.0491 0.2281 0.9608
17 F 0.1167 0.1629 0.7646
18 F 0.1365 0.4749 0.8631
19 F 0.1579 0.6693 0.5030
20 F 0.1629 0.1167 0.2646
21 F 0.2068 0.4237 0.2505
22 F 0.2281 0.0491 0.4608
23 F 0.2282 0.6019 0.6963
24 F 0.2775 0.6003 0.3207
25 F 0.2810 0.3514 0.0057
26 F 0.3060 0.5370 0.9287
27 F 0.3307 0.8421 0.9970
28 F 0.3514 0.2810 0.5057
29 F 0.3981 0.7718 0.8037
30 F 0.3997 0.7225 0.1793
31 F 0.4090 0.0239 0.8932
32 F 0.4237 0.2068 0.7505
33 F 0.4630 0.6940 0.5713
34 F 0.4749 0.1365 0.3631
35 F 0.5251 0.8635 0.6369
36 F 0.5370 0.3060 0.4287
37 F 0.5763 0.7932 0.2495
38 F 0.5910 0.9761 0.1068
39 F 0.6003 0.2775 0.8207
40 F 0.6019 0.2282 0.1963
41 F 0.6486 0.7190 0.4943
42 F 0.6693 0.1579 0.0030
43 F 0.6940 0.4630 0.0713
44 F 0.7190 0.6486 0.9943
45 F 0.7225 0.3997 0.6793
46 F 0.7718 0.3981 0.3037
47 F 0.7719 0.9509 0.5392
48 F 0.7932 0.5763 0.7495
49 F 0.8371 0.8833 0.7354
50 F 0.8421 0.3307 0.4970
51 F 0.8635 0.5251 0.1369
52 F 0.8833 0.8371 0.2354
53 F 0.9509 0.7719 0.0392
54 F 0.9712 0.0203 0.1303
55 F 0.9761 0.5910 0.6068
56 F 0.9797 0.0288 0.3697

# 2
TeCF2: theoretical X-ray powder pattern (CuKα), based on a GGA-PBE-relaxed structure.

Most intense lines, 2θ = 5–70°, by intensity:
d_spacing  I (rel.)
3.096  100
6.001  96
2.612  79
3.974  75
2.540  60
3.260  51

Atomic structure:
a = 7.2146 Å, b = 12.0026 Å, c = 7.5312 Å
α = 90.00°, β = 92.09°, γ = 90.00°
Fractional positions:
1 Te 0.0159 0.0000 0.0764
2 Te 0.2486 0.1518 0.7633
3 Te 0.3639 0.6781 0.9451
4 Te 0.3912 0.0344 0.3698
5 Te 0.6088 0.5344 0.6302
6 Te 0.6361 0.1781 0.0549
7 Te 0.7514 0.6518 0.2367
8 Te 0.9841 0.5000 0.9236
9 C 0.0809 0.6610 0.8140
10 C 0.2373 0.9917 0.6144
11 C 0.2693 0.5161 0.0521
12 C 0.4005 0.1955 0.5179
13 C 0.5995 0.6955 0.4821
14 C 0.7307 0.0161 0.9479
15 C 0.7627 0.4917 0.3856
16 C 0.9191 0.1610 0.1860
17 F 0.0334 0.2480 0.1406
18 F 0.0598 0.9562 0.5785
19 F 0.0813 0.6614 0.6330
20 F 0.2721 0.5142 0.2332
21 F 0.3194 0.2813 0.4244
22 F 0.3209 0.9066 0.7106
23 F 0.3819 0.4289 0.0028
24 F 0.4200 0.7291 0.4448
25 F 0.5800 0.2291 0.5552
26 F 0.6181 0.9289 0.9972
27 F 0.6791 0.4066 0.2894
28 F 0.6806 0.7813 0.5756
29 F 0.7279 0.0142 0.7668
30 F 0.9187 0.1614 0.3670
31 F 0.9402 0.4562 0.4215
32 F 0.9666 0.7480 0.8594

# 3
Fe3C: theoretical X-ray powder pattern (CuKα), based on a GGA-PBE-relaxed structure.

Most intense lines, 2θ = 5–70°, by intensity:
d_spacing  I (rel.)
1.836  100
2.041  96
1.990  67
2.335  53
1.981  48
1.880  24

Atomic structure:
a = 6.3085 Å, b = 6.3085 Å, c = 6.3085 Å
α = 96.44°, β = 96.44°, γ = 140.88°
Fractional positions:
1 Fe 0.0000 0.3561 0.3561
2 Fe 0.0000 0.6439 0.6439
3 Fe 0.1021 0.1021 0.6085
4 Fe 0.1405 0.3368 0.0000
5 Fe 0.3368 0.1405 0.0000
6 Fe 0.3561 0.0000 0.3561
7 Fe 0.4936 0.4936 0.3915
8 Fe 0.5064 0.8979 0.0000
9 Fe 0.6439 0.0000 0.6439
10 Fe 0.6632 0.6632 0.8038
11 Fe 0.8595 0.8595 0.1962
12 Fe 0.8979 0.5064 0.0000
13 C 0.2100 0.5000 0.7100
14 C 0.5000 0.2100 0.7100
15 C 0.5000 0.7900 0.2900
16 C 0.7900 0.5000 0.2900